Diffraction record for Eu2MgGa3. The X-ray powder pattern is calculated, not measured: it uses a structure optimized by DFT (GGA-PBE) and λ = 1.5418 Å (Cu Kα).

Most intense lines, 2θ = 15–90°, low angle first:
| 2θ/deg | intensity | index |
| --- | --- | --- |
| 21.95 | 31 | 1 1 0 |
| 31.62 | 32 | 1 1 1 |
| 31.86 | 26 | 3 1 -1 |
| 32.07 | 61 | 1 1 -2 |
| 32.30 | 100 | 3 1 -2 |
| 32.75 | 20 | 4 0 -2 |
| 38.22 | 42 | 0 2 0 |
| 39.09 | 50 | 3 1 0 |
| 50.88 | 15 | 0 2 2 |
| 51.23 | 20 | 4 2 -2 |

Structure:
```
12
Lattice="10.944 0.000 0.000 0.000 4.710 0.000 -5.277 0.000 5.543" Properties=species:S:1:pos:R:3 pbc="T T T"
Eu 0.000 0.000 0.000
Eu -2.137 0.000 3.308
Eu 5.472 2.355 0.000
Eu 3.335 2.355 3.308
Mg 0.203 2.355 2.196
Mg 5.675 0.000 2.196
Ga 2.166 2.355 0.076
Ga 3.086 0.000 1.087
Ga 1.187 0.000 3.256
Ga 7.638 0.000 0.076
Ga 8.558 2.355 1.087
Ga 6.659 2.355 3.256
```